1.
# La4P3Br
Simulated powder XRD pattern, a wavelength of 1.5418 Å. Input: a crystal structure in Alexandria, relaxed with PBE.

Peak list (8 most intense, 10° ≤ 2θ ≤ 90°, most intense first)
- 29.46°, I 100
- 42.16°, I 48
- 25.54°, I 25
- 25.34°, I 24
- 69.31°, I 20
- 52.47°, I 13
- 42.38°, I 12
- 50.00°, I 12

Atomic structure:
```
La4P3Br
1.0
4.3141 -6.0595 0.0000
4.3141 6.0595 0.0000
0.0000 0.0000 4.2658
La P Br
4 3 1
Cartesian
1.9779 0.0000 2.1329
4.3141 3.1385 0.0000
4.3141 -3.1385 0.0000
6.6503 0.0000 2.1329
0.0000 0.0000 0.0000
2.1571 3.0297 2.1329
2.1571 -3.0297 2.1329
4.3141 0.0000 0.0000
```

=====

2.
# LaP2Br
Simulated powder XRD pattern, a wavelength of 1.5418 Å. Input: a crystal structure in Alexandria, relaxed with PBE.

Peak list (8 most intense, 10° ≤ 2θ ≤ 90°, most intense first)
- 35.59°, I 100
- 25.89°, I 34
- 33.54°, I 33
- 34.51°, I 31
- 19.36°, I 27
- 61.31°, I 20
- 42.85°, I 18
- 60.57°, I 18

Atomic structure:
```
LaP2Br
1.0
-1.8649 2.6715 4.4613
1.8649 -2.6715 4.4613
1.8649 2.6715 -4.4613
La P Br
1 2 1
Cartesian
0.0000 0.0000 0.0000
1.8649 0.0000 2.7955
0.0000 0.0000 4.1021
0.0000 2.6715 2.0091
```

=====

3.
# La8P6Br
Simulated powder XRD pattern, a wavelength of 1.5418 Å. Input: a crystal structure in Alexandria, relaxed with PBE.

Peak list (8 most intense, 10° ≤ 2θ ≤ 90°, most intense first)
- 27.58°, I 100
- 25.91°, I 61
- 38.22°, I 31
- 31.91°, I 30
- 45.80°, I 24
- 50.52°, I 19
- 47.79°, I 16
- 56.97°, I 15

Atomic structure:
```
La8P6Br
1.0
11.1949 0.0000 0.0000
-5.5975 9.6951 0.0000
0.0000 0.0000 4.3572
La P Br
8 6 1
Cartesian
-1.6196 3.5308 1.1097
-1.7299 9.3323 1.1097
0.0000 6.4634 3.2589
2.2480 3.1681 3.2475
3.3495 6.5270 1.1097
5.5975 3.2317 1.0983
7.3273 0.3628 3.2475
7.2171 6.1643 3.2475
-2.1440 6.4148 1.0734
1.1141 4.6309 1.0734
4.5676 1.3506 3.2838
1.0299 8.3445 1.0734
4.4833 5.0642 3.2838
7.7415 3.2803 3.2838
0.0000 0.0000 2.1786
```

=====

4.
# La3SbPBr
Simulated powder XRD pattern, a wavelength of 1.5418 Å. Input: a crystal structure in Alexandria, relaxed with PBE.

Peak list (8 most intense, 10° ≤ 2θ ≤ 90°, most intense first)
- 27.14°, I 100
- 35.38°, I 86
- 33.21°, I 75
- 34.08°, I 72
- 31.45°, I 62
- 41.92°, I 54
- 25.89°, I 53
- 26.85°, I 41

Atomic structure:
```
La3SbPBr
1.0
7.5731 0.0000 0.0000
0.0000 4.3104 0.0000
-2.4818 0.0000 11.4405
La Sb P Br
6 2 2 2
Cartesian
-0.0171 1.0776 1.6186
0.9072 1.0776 5.6608
1.3305 3.2328 9.7336
3.7608 1.0776 1.7068
4.1841 3.2328 5.7797
5.1084 3.2328 9.8219
1.8789 3.2328 3.4561
3.2124 1.0776 7.9843
-0.5647 1.0776 10.7678
5.6560 3.2328 0.6727
-0.6381 3.2328 7.2870
5.7294 1.0776 4.1535
```

=====

5.
# LaSmPBr
Simulated powder XRD pattern, a wavelength of 1.5418 Å. Input: a crystal structure in Alexandria, relaxed with PBE.

Peak list (8 most intense, 10° ≤ 2θ ≤ 90°, most intense first)
- 31.96°, I 100
- 29.62°, I 50
- 43.98°, I 47
- 25.28°, I 39
- 47.62°, I 22
- 55.39°, I 21
- 57.91°, I 19
- 73.29°, I 18

Atomic structure:
```
LaSmPBr
1.0
2.0588 1.1886 7.5375
-2.0588 1.1886 7.5375
0.0000 -2.3773 7.5375
La Sm P Br
1 1 1 1
Cartesian
0.0000 0.0000 0.0000
0.0000 0.0000 18.1513
0.0000 0.0000 9.1722
0.0000 0.0000 5.2077
```

=====

6.
# La6ZnP2Br3
Simulated powder XRD pattern, a wavelength of 1.5418 Å. Input: a crystal structure in Alexandria, relaxed with PBE.

Peak list (8 most intense, 10° ≤ 2θ ≤ 90°, most intense first)
- 29.01°, I 100
- 28.85°, I 50
- 42.02°, I 37
- 40.71°, I 33
- 52.32°, I 19
- 25.47°, I 19
- 42.66°, I 18
- 40.28°, I 17

Atomic structure:
```
La6ZnP2Br3
1.0
9.6550 -2.1193 0.0000
9.6550 2.1193 0.0000
-2.4591 0.0000 8.6215
La Zn P Br
6 1 2 3
Cartesian
-0.3974 0.0000 2.0917
5.1872 0.0000 3.8077
4.3052 0.0000 7.6880
12.5456 0.0000 0.9335
11.6636 0.0000 4.8138
17.2482 0.0000 6.5297
9.6550 0.0000 0.0000
2.4361 0.0000 2.8738
14.4147 0.0000 5.7477
1.1477 0.0000 7.1489
8.4254 0.0000 4.3107
15.7031 0.0000 1.4726
```

=====

7.
# La3PbBr3
Simulated powder XRD pattern, a wavelength of 1.5418 Å. Input: a crystal structure in Alexandria, relaxed with PBE.

Peak list (8 most intense, 10° ≤ 2θ ≤ 90°, most intense first)
- 28.26°, I 100
- 40.40°, I 76
- 66.18°, I 35
- 50.03°, I 27
- 73.46°, I 26
- 22.26°, I 16
- 36.27°, I 14
- 58.46°, I 13

Atomic structure:
```
La3PbBr3
1.0
-6.3151 6.3151 6.3151
6.3151 -6.3151 6.3151
6.3151 6.3151 -6.3151
La Pb Br
12 4 12
Cartesian
1.5949 1.5788 -1.5626
7.8777 1.5949 -1.5788
1.5788 -1.5626 1.5949
4.7525 4.7202 -1.5788
4.7202 1.5788 1.5626
-1.5626 1.5949 1.5788
4.7202 -1.5788 4.7525
1.5788 1.5626 4.7202
1.5626 4.7202 1.5788
1.5949 -1.5788 7.8777
-1.5788 7.8777 1.5949
-1.5788 4.7525 4.7202
4.7363 1.5788 -1.5788
1.5788 1.5788 1.5788
1.5788 -1.5788 4.7363
-1.5788 4.7363 1.5788
7.8939 1.5572 1.6004
7.8939 -1.5572 4.7147
4.7147 7.8939 -1.5572
4.7579 1.6004 4.7363
4.7363 4.7579 1.6004
1.6004 7.8939 1.5572
7.8723 4.7147 4.7363
1.6004 4.7363 4.7579
1.5572 1.6004 7.8939
4.7363 7.8723 4.7147
-1.5572 4.7147 7.8939
4.7147 4.7363 7.8723
```

=====

8.
# La4Te2PbBr
Simulated powder XRD pattern, a wavelength of 1.5418 Å. Input: a crystal structure in Alexandria, relaxed with PBE.

Peak list (8 most intense, 10° ≤ 2θ ≤ 90°, most intense first)
- 27.61°, I 100
- 39.46°, I 64
- 64.52°, I 30
- 71.59°, I 18
- 48.77°, I 14
- 48.88°, I 14
- 39.35°, I 13
- 71.41°, I 9

Atomic structure:
```
La4Te2PbBr
1.0
-4.5655 4.5797 6.4523
4.5655 -4.5797 6.4523
4.5655 4.5797 -6.4523
La Te Pb Br
8 4 2 2
Cartesian
2.2743 2.2898 0.0013
2.2912 -2.2898 6.4536
0.0000 0.0251 3.2174
4.5655 0.0251 3.2350
0.0000 4.5546 3.2174
4.5655 4.5546 3.2350
2.2743 6.8695 -0.0013
2.2912 2.2898 6.4510
4.5655 0.0000 0.0000
-2.2827 2.2898 3.2262
0.0000 0.0000 6.4523
2.2827 2.2898 3.2262
0.0000 0.0000 0.0000
0.0000 4.5797 0.0000
2.2827 2.2898 -3.2262
2.2827 -2.2898 3.2262
```

=====

9.
# La4PdBr5
Simulated powder XRD pattern, a wavelength of 1.5418 Å. Input: a crystal structure in Alexandria, relaxed with PBE.

Peak list (8 most intense, 10° ≤ 2θ ≤ 90°, most intense first)
- 29.64°, I 100
- 28.68°, I 67
- 40.87°, I 42
- 42.56°, I 35
- 53.94°, I 22
- 44.65°, I 18
- 40.08°, I 16
- 27.15°, I 12

Atomic structure:
```
La4PdBr5
1.0
9.4922 -2.0293 0.0000
9.4922 2.0293 0.0000
-1.6284 0.0000 8.8644
La Pd Br
4 1 5
Cartesian
-0.2875 0.0000 1.9745
4.7174 0.0000 8.3234
12.6386 0.0000 0.5410
17.6436 0.0000 6.8899
9.4922 0.0000 0.0000
1.7926 0.0000 7.0478
2.6549 0.0000 2.8036
8.6780 0.0000 4.4322
14.7011 0.0000 6.0608
15.5634 0.0000 1.8166
```

=====

10.
# LaPmSiBr
Simulated powder XRD pattern, a wavelength of 1.5418 Å. Input: a crystal structure in Alexandria, relaxed with PBE.

Peak list (8 most intense, 10° ≤ 2θ ≤ 90°, most intense first)
- 28.89°, I 100
- 41.96°, I 39
- 40.68°, I 31
- 25.20°, I 27
- 51.74°, I 23
- 68.73°, I 18
- 59.86°, I 18
- 31.40°, I 15

Atomic structure:
```
LaPmSiBr
1.0
2.1533 1.2432 7.3570
-2.1533 1.2432 7.3570
0.0000 -2.4865 7.3570
La Pm Si Br
1 1 1 1
Cartesian
0.0000 0.0000 0.0000
0.0000 0.0000 10.4814
0.0000 0.0000 16.3280
0.0000 0.0000 5.1913
```

=====

11.
# La2PrBr4
Simulated powder XRD pattern, a wavelength of 1.5418 Å. Input: a crystal structure in Alexandria, relaxed with PBE.

Peak list (8 most intense, 10° ≤ 2θ ≤ 90°, most intense first)
- 24.22°, I 100
- 38.05°, I 98
- 33.62°, I 96
- 32.51°, I 87
- 36.67°, I 83
- 40.81°, I 81
- 44.18°, I 77
- 11.71°, I 75

Atomic structure:
```
La2PrBr4
1.0
8.9252 -1.8972 0.0000
8.9252 1.8972 0.0000
-8.5298 0.0000 13.5912
La Pr Br
4 2 8
Cartesian
-2.2810 0.0000 6.0942
4.4031 0.0000 2.0681
4.9175 0.0000 11.5231
11.6016 0.0000 7.4970
-1.0536 0.0000 10.5151
10.3743 0.0000 3.0761
-3.6340 0.0000 8.9978
1.0153 0.0000 5.5361
-2.1742 0.0000 13.2773
2.0887 0.0000 9.9966
7.2319 0.0000 3.5946
11.4948 0.0000 0.3138
8.3053 0.0000 8.0550
12.9546 0.0000 4.5934
```

=====

12.
# La6Pt2Se3Br
Simulated powder XRD pattern, a wavelength of 1.5418 Å. Input: a crystal structure in Alexandria, relaxed with PBE.

Peak list (8 most intense, 10° ≤ 2θ ≤ 90°, most intense first)
- 29.28°, I 100
- 28.92°, I 52
- 41.26°, I 39
- 41.98°, I 36
- 40.77°, I 21
- 52.63°, I 19
- 42.98°, I 18
- 60.73°, I 12

Atomic structure:
```
La6Pt2Se3Br
1.0
9.5780 -2.1045 0.0000
9.5780 2.1045 0.0000
-2.2551 0.0000 8.5639
La Pt Se Br
6 2 3 1
Cartesian
-0.5428 0.0000 2.2669
4.2430 0.0000 7.7149
5.3440 0.0000 3.7059
11.5569 0.0000 4.8581
12.6579 0.0000 0.8491
17.4437 0.0000 6.2970
2.4195 0.0000 2.7961
14.4814 0.0000 5.7678
1.2128 0.0000 7.1260
8.4504 0.0000 4.2820
15.6880 0.0000 1.4379
9.5780 0.0000 0.0000
```

=====

13.
# LaPuRhBr
Simulated powder XRD pattern, a wavelength of 1.5418 Å. Input: a crystal structure in Alexandria, relaxed with PBE.

Peak list (8 most intense, 10° ≤ 2θ ≤ 90°, most intense first)
- 31.64°, I 100
- 44.91°, I 43
- 11.04°, I 40
- 26.55°, I 32
- 45.80°, I 26
- 29.56°, I 24
- 36.68°, I 21
- 55.97°, I 20

Atomic structure:
```
LaPuRhBr
1.0
2.0184 1.1653 8.0153
-2.0184 1.1653 8.0153
0.0000 -2.3307 8.0153
La Pu Rh Br
1 1 1 1
Cartesian
0.0000 0.0000 0.0000
0.0000 0.0000 19.2301
0.0000 0.0000 9.7116
0.0000 0.0000 5.6086
```